EuOF: simulated powder XRD pattern (Cu Kα (weighted mean of Kα1 and Kα2)), based on a GGA-PBE-relaxed structure.
Kinematic intensities with the Lorentz-polarization factor, no thermal factor.

Crystal structure
```
EuOF
1.0
1.976 1.141 6.502
-1.976 1.141 6.502
0.000 -2.282 6.502
Eu O F
2 2 2
direct
0.243 0.243 0.243
0.757 0.757 0.757
0.124 0.124 0.124
0.876 0.876 0.876
0.372 0.372 0.372
0.628 0.628 0.628
```

Main lines, by angle (10° ≤ 2θ ≤ 80°):
3.251 Å, 2θ 27.44, intensity 31; 3.230 Å, 2θ 27.62, intensity 100; 2.802 Å, 2θ 31.94, intensity 38; 1.986 Å, 2θ 45.68, intensity 34; 1.976 Å, 2θ 45.92, intensity 37; 1.695 Å, 2θ 54.12, intensity 13; 1.689 Å, 2θ 54.32, intensity 28; 1.686 Å, 2θ 54.43, intensity 15; 1.401 Å, 2θ 66.78, intensity 10; 1.283 Å, 2θ 73.90, intensity 12